# 1
Calculated powder diffractogram of RbMn6O12 for λ = 1.5418 Å (Cu Kα), from a cell relaxed with PBE+U.

Structural model:
Unit cell a=7.2555 b=8.3756 c=8.4070 alpha=115.98 beta=96.56 gamma=96.03
Space group P1 (No. 1)
Asymmetric unit:
Rb: 0.0000 0.0000 0.0000 x1
Rb: 0.0083 0.5935 0.5915 x1
Mn: 0.1867 0.0836 0.5682 x1
Mn: 0.1877 0.4183 0.9013 x1
Mn: 0.1879 0.7522 0.2382 x1
Mn: 0.4907 0.1368 0.9537 x1
Mn: 0.4918 0.4690 0.2835 x1
Mn: 0.4922 0.8039 0.6201 x1
Mn: 0.5144 0.7918 0.9742 x1
Mn: 0.5170 0.1248 0.3081 x1
Mn: 0.5179 0.4577 0.6390 x1
Mn: 0.8202 0.1752 0.6875 x1
Mn: 0.8196 0.8420 0.3544 x1
Mn: 0.8216 0.5096 0.0216 x1
O: 0.0508 0.2860 0.6457 x1
O: 0.0513 0.6286 0.9867 x1
O: 0.0543 0.9612 0.3197 x1
O: 0.2937 0.8650 0.4926 x1
O: 0.2948 0.1973 0.8225 x1
O: 0.3007 0.5369 0.1557 x1
O: 0.3612 0.8857 0.8383 x1
O: 0.3655 0.2138 0.1650 x1
O: 0.3688 0.5480 0.4962 x1
O: 0.3747 0.5480 0.8328 x1
O: 0.3755 0.8820 0.1710 x1
O: 0.3784 0.2141 0.5049 x1
O: 0.6291 0.3799 0.0849 x1
O: 0.6341 0.0481 0.7609 x1
O: 0.6339 0.7109 0.4202 x1
O: 0.6418 0.0451 0.0973 x1
O: 0.6438 0.3763 0.4286 x1
O: 0.6442 0.7144 0.7631 x1
O: 0.7037 0.0550 0.4374 x1
O: 0.7123 0.7281 0.1006 x1
O: 0.7163 0.3962 0.7663 x1
O: 0.9554 0.6369 0.2733 x1
O: 0.9565 0.3032 0.9372 x1
O: 0.9558 0.9667 0.6071 x1

Largest 10 diffraction maxima, in order of rising 2θ, 10 to 80 degrees two-theta:
2θ 12.46, I = 26; 2θ 17.65, I = 45; 2θ 28.03, I = 100; 2θ 28.13, I = 100; 2θ 36.22, I = 49; 2θ 36.34, I = 69; 2θ 40.68, I = 43; 2θ 48.42, I = 33; 2θ 58.53, I = 38; 2θ 67.56, I = 24

# 2
Calculated powder diffractogram of Rb2U3MnO11 for λ = 1.5418 Å (Cu Kα), from a cell relaxed with PBE+U.

Structural model:
Unit cell a=6.8956 b=6.8956 c=38.4598 alpha=90.00 beta=90.00 gamma=120.00
Space group R-3c (No. 167, hexagonal axes)
Asymmetric unit:
Rb: 0.0000 0.0000 0.1730 x12
U: 0.0000 0.3664 0.2500 x18
Mn: 0.0000 0.0000 0.0000 x6
O: 0.0000 0.0000 0.0948 x12
O: 0.0000 0.2514 0.7500 x18
O: 0.0239 0.2742 0.5340 x36

Largest 10 diffraction maxima, in order of rising 2θ, 10 to 80 degrees two-theta:
2θ 13.82, I = 60; 2θ 26.78, I = 100; 2θ 27.84, I = 36; 2θ 29.42, I = 68; 2θ 33.39, I = 37; 2θ 44.01, I = 23; 2θ 45.57, I = 31; 2θ 50.23, I = 17; 2θ 54.25, I = 29; 2θ 56.92, I = 17